Calculated powder diffraction line list
Compound: Ca8Al3
Radiation: Cu Kα (weighted mean of Kα1 and Kα2)
Structure: the PBE geometry in Alexandria

Cell and atoms:
Cell: 9.4511 9.5190 9.6045 Å, 98.98 101.10 119.72°
Sites, in units of the cell vectors:
Ca (0.0318, 0.2013, 0.1492)
Ca (0.0440, 0.2105, 0.7967)
Ca (0.1676, 0.6209, 0.3893)
Ca (0.2016, 0.9977, 0.6108)
Ca (0.2740, 0.6529, 0.7988)
Ca (0.3784, 0.9005, 0.1477)
Ca (0.4198, 0.2694, 0.3928)
Ca (0.4599, 0.5606, 0.1694)
Ca (0.5401, 0.4394, 0.8306)
Ca (0.5802, 0.7306, 0.6072)
Ca (0.6216, 0.0995, 0.8523)
Ca (0.7260, 0.3471, 0.2012)
Ca (0.7984, 0.0023, 0.3892)
Ca (0.8324, 0.3791, 0.6107)
Ca (0.9560, 0.7895, 0.2033)
Ca (0.9682, 0.7987, 0.8508)
Al (0.0000, 0.5000, 0.0000)
Al (0.1760, 0.3398, 0.5258)
Al (0.3274, 0.1624, 0.9998)
Al (0.5000, 0.0000, 0.5000)
Al (0.6726, 0.8376, 0.0002)
Al (0.8240, 0.6602, 0.4742)

Top 10 peaks for 2θ from 10° to 90°, by angle:
(hkl)  2θ/deg  d_spacing  I/Imax
1 -3 1  28.83  3.096  9.6
3 -2 0  29.13  3.066  12.7
1 1 -3  29.50  3.028  8.9
3 -1 0  29.81  2.997  19.5
1 2 -2  30.18  2.961  8.6
2 -1 2  30.38  2.943  12.0
-2 1 3  32.12  2.787  32.8
0 3 -1  32.49  2.756  19.9
1 1 2  32.75  2.734  100.0
4 -5 3  58.86  1.569  10.5